Record 1
The following is a computed powder XRD pattern of HfThSc4. It was derived from the GGA-PBE geometry in Alexandria, using Cu Kα.
Peak positions follow from Bragg's law for the DFT cell and can differ from measured ones.

Main lines, in order of rising 2θ (2θ from 10° to 90°):
h k l, 2θ (°), I/Imax
0 2 0, 12.74, 68
1 1 2, 27.76, 44
1 3 2, 33.32, 100
2 0 0, 38.42, 17
0 0 4, 38.66, 16
0 6 0, 38.89, 16
1 5 2, 42.51, 17
3 3 2, 66.26, 13

Structure:
a b c (Å): 4.6855 13.8940 9.3153
angles (deg): 90.00 90.00 90.00
Space group Imma (No. 74)
Unique sites:
Hf 0.0000 0.2500 0.1361 x4
Th 0.0000 0.2500 0.6201 x4
Sc 0.0000 0.0851 0.8801 x8
Sc 0.0000 0.0882 0.3679 x8


Record 2
The following is a computed powder XRD pattern of HfScTl. It was derived from the GGA-PBE geometry in Alexandria, using Cu Kα.
Peak positions follow from Bragg's law for the DFT cell and can differ from measured ones.

Main lines, in order of rising 2θ (2θ from 10° to 90°):
h k l, 2θ (°), I/Imax
0 0 2, 13.05, 7
0 0 3, 19.62, 13
1 0 0, 27.92, 11
1 0 3, 34.36, 100
1 1 0, 39.88, 50
2 0 0, 57.68, 34
2 1 3, 68.89, 39
2 0 6, 72.42, 11

Structure:
a b c (Å): 3.1952 3.1952 13.5725
angles (deg): 90.00 90.00 90.00
Space group P4mm (No. 99)
Unique sites:
Hf 0.0000 0.0000 0.0000 x1
Hf 0.5000 0.5000 0.1577 x1
Sc 0.0000 0.0000 0.3279 x1
Sc 0.0000 0.0000 0.6613 x1
Tl 0.5000 0.5000 0.4981 x1
Tl 0.5000 0.5000 0.8255 x1


Record 3
The following is a computed powder XRD pattern of Tm2Hf2Sc7. It was derived from the GGA-PBE geometry in Alexandria, using Cu Kα.
Peak positions follow from Bragg's law for the DFT cell and can differ from measured ones.

Main lines, in order of rising 2θ (2θ from 10° to 90°):
h k l, 2θ (°), I/Imax
1 1 0, 14.65, 100
0 2 1, 21.68, 43
1 3 1, 33.14, 45
2 2 -2, 34.42, 81
2 2 1, 34.79, 93
3 1 -1, 35.41, 31
1 3 -2, 36.53, 46
0 0 3, 38.17, 36

Structure:
a b c (Å): 7.8832 10.0626 7.3706
angles (deg): 90.00 106.32 90.00
Space group C2/m (No. 12)
Unique sites:
Tm 0.0000 0.2141 0.0000 x4
Hf 0.0787 0.0000 0.3254 x4
Sc 0.0000 0.5000 0.5000 x2
Sc 0.1908 0.1996 0.6586 x8
Sc 0.1987 0.5000 0.9739 x4


Record 4
The following is a computed powder XRD pattern of Y2HfSc12. It was derived from the GGA-PBE geometry in Alexandria, using Cu Kα.
Peak positions follow from Bragg's law for the DFT cell and can differ from measured ones.

Main lines, in order of rising 2θ (2θ from 10° to 90°):
h k l, 2θ (°), I/Imax
1 1 0, 18.22, 45
1 1 1, 18.91, 39
1 1 4, 27.41, 100
2 0 4, 33.11, 73
2 0 5, 36.62, 67
2 2 0, 36.91, 75
1 1 7, 40.57, 40
3 1 4, 46.58, 49

Structure:
a b c (Å): 6.8876 6.8876 17.4923
angles (deg): 90.00 90.00 90.00
Space group P4/nbm (No. 125, origin choice 2)
Unique sites:
Y 0.2500 0.7500 0.2462 x4
Hf 0.2500 0.7500 0.0000 x2
Sc 0.9997 0.0003 0.0937 x8
Sc 0.0982 0.5982 0.4343 x8
Sc 0.2500 0.2500 0.2058 x4
Sc 0.2500 0.2500 0.3692 x4


Record 5
The following is a computed powder XRD pattern of YHfSc3. It was derived from the GGA-PBE geometry in Alexandria, using Cu Kα.
Peak positions follow from Bragg's law for the DFT cell and can differ from measured ones.

Main lines, in order of rising 2θ (2θ from 10° to 90°):
h k l, 2θ (°), I/Imax
0 0 1, 12.67, 23
0 1 0, 14.66, 38
1 1 0, 23.07, 22
0 2 -2, 34.46, 48
2 -1 0, 35.20, 34
-1 2 1, 35.33, 100
1 0 2, 35.55, 39
1 0 -3, 35.70, 36

Structure:
a b c (Å): 5.8358 6.2126 7.7348
angles (deg): 102.36 111.84 90.09
Space group P-1 (No. 2)
Unique sites:
Y 0.0936 0.2477 0.0024 x2
Hf 0.4779 0.0536 0.8034 x2
Sc 0.1188 0.1510 0.4107 x2
Sc 0.2963 0.6684 0.4105 x2
Sc 0.3209 0.5600 0.7972 x2


Record 6
The following is a computed powder XRD pattern of Hf2Sc2Zn. It was derived from the GGA-PBE geometry in Alexandria, using Cu Kα.
Peak positions follow from Bragg's law for the DFT cell and can differ from measured ones.

Main lines, in order of rising 2θ (2θ from 10° to 90°):
h k l, 2θ (°), I/Imax
0 0 1, 19.85, 47
2 1 0, 27.93, 30
2 1 1, 34.50, 100
3 1 0, 39.91, 30
0 0 2, 40.33, 19
3 1 1, 44.96, 21
3 1 2, 58.04, 20
5 2 1, 74.63, 16

Structure:
a b c (Å): 7.1429 7.1429 4.4726
angles (deg): 90.00 90.00 90.00
Space group P4/mbm (No. 127)
Unique sites:
Hf 0.1434 0.3566 0.0000 x4
Sc 0.1534 0.6534 0.5000 x4
Zn 0.0000 0.0000 0.0000 x2